Theoretical powder X-ray diffraction pattern of FeOsO3 for Cu Kα (weighted mean of Kα1 and Kα2), from DFT lattice parameters and positions (GGA+U).

Most intense lines, 2θ = 15–90°, in order of rising 2θ:
- 23.12°, I 48, (1 0 0)
- 32.92°, I 100, (1 1 0)
- 40.61°, I 5, (1 1 1)
- 47.25°, I 29, (2 0 0)
- 53.24°, I 21, (2 1 0)
- 58.79°, I 39, (2 1 1)
- 69.04°, I 18, (2 2 0)
- 73.90°, I 10, (3 0 0)
- 78.63°, I 17, (3 1 0)
- 87.91°, I 6, (2 2 2)

Crystal structure
```
data_FeOsO3
_space_group_name_H-M_alt 'P m -3 m'
_space_group_IT_number 221
_space_group_name_Hall '-P 4 2 3'
_cell_length_a 3.8475
_cell_length_b 3.8475
_cell_length_c 3.8475
_cell_angle_alpha 90.00
_cell_angle_beta 90.00
_cell_angle_gamma 90.00
loop_
_atom_site_label
_atom_site_type_symbol
_atom_site_fract_x
_atom_site_fract_y
_atom_site_fract_z
Fe1 Fe 0.0000 0.0000 0.0000
Os1 Os 0.5000 0.5000 0.5000
O1 O 0.0000 0.5000 0.5000
```

---

Theoretical powder X-ray diffraction pattern of Fe3P4O14 for Cu Kα (weighted mean of Kα1 and Kα2), from DFT lattice parameters and positions (GGA+U).

Most intense lines, 2θ = 15–90°, in order of rising 2θ:
- 18.32°, I 100, (0 1 -1)
- 25.34°, I 88, (1 -1 1)
- 26.58°, I 80, (0 1 2)
- 26.77°, I 29, (1 1 2)
- 27.63°, I 21, (1 2 0)
- 32.10°, I 45, (1 2 -1)
- 32.61°, I 48, (2 1 0)
- 33.28°, I 42, (1 2 2)
- 36.36°, I 18, (1 -2 1)
- 42.89°, I 18, (2 -1 2)

Crystal structure
```
data_Fe3P4O14
_space_group_name_H-M_alt 'P 1'
_space_group_IT_number 1
_space_group_name_Hall 'P 1'
_cell_length_a 5.6997
_cell_length_b 6.9656
_cell_length_c 7.6751
_cell_angle_alpha 83.34
_cell_angle_beta 77.39
_cell_angle_gamma 74.67
loop_
_atom_site_label
_atom_site_type_symbol
_atom_site_fract_x
_atom_site_fract_y
_atom_site_fract_z
Fe1 Fe 0.0000 0.0000 0.0000
Fe2 Fe 0.1093 0.5715 0.2733
Fe3 Fe 0.4566 0.9789 0.6526
P1 P 0.0134 0.8289 0.6404
P2 P 0.4423 0.2025 0.0053
P3 P 0.5548 0.8172 0.2435
P4 P 0.8468 0.1966 0.4175
O1 O 0.0274 0.0491 0.5446
O2 O 0.1017 0.6718 0.5057
O3 O 0.1866 0.8207 0.7739
O4 O 0.2704 0.3918 0.0845
O5 O 0.3081 0.1236 0.8807
O6 O 0.3953 0.7024 0.1837
O7 O 0.4549 0.0447 0.1781
O8 O 0.5317 0.8194 0.4448
O9 O 0.5800 0.1997 0.5182
O10 O 0.7045 0.2079 0.9188
O11 O 0.7484 0.8392 0.7433
O12 O 0.8367 0.7491 0.1544
O13 O 0.9086 0.3970 0.4117
O14 O 0.9152 0.1037 0.2408
```

---

Theoretical powder X-ray diffraction pattern of Fe3P4O14 for Cu Kα (weighted mean of Kα1 and Kα2), from DFT lattice parameters and positions (GGA+U).

Most intense lines, 2θ = 15–90°, in order of rising 2θ:
- 18.95°, I 83, (0 1 -1)
- 22.57°, I 16, (1 -1 0)
- 24.14°, I 100, (1 -1 1)
- 25.84°, I 23, (1 1 2)
- 26.77°, I 52, (0 1 2)
- 28.42°, I 18, (1 2 0)
- 32.30°, I 50, (2 1 0)
- 32.64°, I 28, (1 2 2)
- 33.87°, I 15, (1 2 -1)
- 43.67°, I 18, (2 2 -1)

Crystal structure
```
data_Fe3P4O14
_space_group_name_H-M_alt 'P -1'
_space_group_IT_number 2
_space_group_name_Hall '-P 1'
_cell_length_a 5.9889
_cell_length_b 6.8978
_cell_length_c 7.6634
_cell_angle_alpha 80.58
_cell_angle_beta 71.95
_cell_angle_gamma 76.88
loop_
_atom_site_label
_atom_site_type_symbol
_atom_site_fract_x
_atom_site_fract_y
_atom_site_fract_z
Fe1 Fe 0.0000 0.0000 0.0000
Fe2 Fe 0.2544 0.4559 0.3360
P1 P 0.2162 0.6880 0.6914
P2 P 0.3666 0.3103 0.9207
O1 O 0.0789 0.8842 0.7588
O2 O 0.0868 0.6008 0.5776
O3 O 0.2154 0.5296 0.8702
O4 O 0.2603 0.1521 0.8780
O5 O 0.3406 0.3086 0.1259
O6 O 0.3709 0.6912 0.1972
O7 O 0.4778 0.6836 0.5762
```

---

What is the formula in the first record?
FeOsO3